(1)
For Rb2DyBiS4, a DFT-relaxed cell (GGA-PBE, Alexandria) gives the theoretical X-ray powder pattern in this record (λ = 1.5418 Å (Cu Kα)).
Peak positions follow from Bragg's law for the DFT cell and can differ from measured ones.

Largest 6 diffraction maxima, sorted by position, 2θ = 15–90°:
h k l  2θ/deg  Rel. int.
0 0 2  23.14  25.3
2 0 0  25.91  17.0
1 1 -1  26.05  33.5
1 1 1  29.32  100.0
1 1 -3  40.19  24.9
3 1 -1  43.63  22.8

Cell: 7.196 4.133 8.044 Å, 90.00 107.12 90.00°
Positions (direct):
1 Rb 0.000 0.000 0.000
2 Rb 0.500 0.500 0.000
3 Dy 0.000 0.500 0.500
4 Bi 0.500 0.000 0.500
5 S 0.224 0.000 0.693
6 S 0.259 0.500 0.302
7 S 0.741 0.500 0.698
8 S 0.776 0.000 0.307

---

(2)
For MgBe2, a DFT-relaxed cell (GGA-PBE, Alexandria) gives the theoretical X-ray powder pattern in this record (λ = 1.5418 Å (Cu Kα)).
Peak positions follow from Bragg's law for the DFT cell and can differ from measured ones.

Largest 6 diffraction maxima, sorted by position, 2θ = 15–90°:
h k l  2θ/deg  Rel. int.
0 0 1  19.49  44.2
1 1 0  32.45  100.0
1 1 -1  33.30  91.0
0 0 2  39.57  57.1
1 1 1  42.50  69.7
1 1 -2  44.51  58.0

Cell: 4.436 3.735 4.938 Å, 90.00 112.72 90.00°
Positions (direct):
1 Mg 0.248 0.250 0.483
2 Mg 0.752 0.750 0.517
3 Be 0.092 0.250 0.939
4 Be 0.359 0.750 0.953
5 Be 0.641 0.250 0.047
6 Be 0.908 0.750 0.061